Theoretical XRD peak list
Compound: HoGa4Fe
Radiation: a wavelength of 1.5418 Å
Structure: a DFT-relaxed cell (GGA-PBE, Alexandria)
Neutral-atom scattering factors, no anomalous dispersion.

a b c (Å): 7.598 3.978 6.741
angles (deg): 90.00 90.00 90.00
Element x y z (fractional)
Ho  0.250  0.000  0.123
Ho  0.750  0.000  0.877
Ga  0.000  0.000  0.500
Ga  0.069  0.500  0.818
Ga  0.250  0.500  0.453
Ga  0.431  0.500  0.818
Ga  0.500  0.000  0.500
Ga  0.569  0.500  0.182
Ga  0.750  0.500  0.547
Ga  0.931  0.500  0.182
Fe  0.250  0.000  0.695
Fe  0.750  0.000  0.305

The 10 most intense peaks (2θ = 10–80°), by angle:
| 2θ/deg | Rel. int. |
| --- | --- |
| 28.6 | 19 |
| 32.6 | 23 |
| 35.3 | 100 |
| 36.9 | 93 |
| 38.0 | 23 |
| 40.1 | 23 |
| 41.9 | 20 |
| 42.4 | 43 |
| 44.8 | 23 |
| 45.6 | 41 |

Theoretical XRD peak list
Compound: Ho2Ga8Fe
Radiation: a wavelength of 1.5418 Å
Structure: a DFT-relaxed cell (GGA-PBE, Alexandria)
Neutral-atom scattering factors, no anomalous dispersion.

a b c (Å): 4.216 4.216 11.164
angles (deg): 90.00 90.00 90.00
Element x y z (fractional)
Ho  0.000  0.000  0.195
Ho  0.000  0.000  0.805
Ga  0.000  0.500  0.000
Ga  0.000  0.500  0.385
Ga  0.000  0.500  0.615
Ga  0.500  0.000  0.000
Ga  0.500  0.000  0.385
Ga  0.500  0.000  0.615
Ga  0.500  0.500  0.194
Ga  0.500  0.500  0.806
Fe  0.000  0.000  0.500

The 10 most intense peaks (2θ = 10–80°), by angle:
| 2θ/deg | Rel. int. |
| --- | --- |
| 21.1 | 22 |
| 34.1 | 54 |
| 38.7 | 100 |
| 40.4 | 24 |
| 42.9 | 57 |
| 60.4 | 29 |
| 62.3 | 20 |
| 75.2 | 14 |
| 75.8 | 26 |
| 76.9 | 14 |

- What is the formula in the first record?
  HoGa4Fe